The following is a calculated powder diffractogram of Li5Fe3Ni2O10. It was derived from a DFT-relaxed cell (PBE+U, Alexandria), using Cu Kα.
Neutral-atom scattering factors, no anomalous dispersion.

Atomic structure:
Unit cell a=5.0901 b=5.1667 c=7.7894 alpha=108.01 beta=103.45 gamma=99.85
Space group P-1 (No. 2)
Asymmetric unit:
Li 0.0000 0.0000 0.0000
Li 0.1275 0.2141 0.7301
Li 0.2984 0.5924 0.0840
Fe 0.1914 0.3953 0.3879
Fe 0.5000 0.0000 0.5000
Ni 0.4011 0.8060 0.8094
O 0.0672 0.6011 0.8381
O 0.1627 0.7861 0.5674
O 0.2762 0.0272 0.2643
O 0.3662 0.1924 0.9660
O 0.4572 0.3793 0.6346

Main lines, sorted by position (10 to 80 degrees two-theta):
2θ/deg, I (rel.), index
12.55, 59, 0 0 1
18.36, 100, 0 1 -1
18.58, 42, 1 0 0
22.69, 30, 1 -1 0
29.88, 25, 1 1 0
37.22, 26, 0 2 -2
42.49, 71, -1 2 1
43.47, 69, 2 1 -2
43.87, 61, 1 -1 3
62.50, 36, -3 1 3